The following is a calculated X-ray diffraction stick pattern of Na2PH11O8. It was derived from the GGA-PBE geometry in Alexandria, using λ = 1.5418 Å (Cu Kα).
Neutral-atom scattering factors, no anomalous dispersion.

Largest 6 diffraction maxima, in order of falling intensity, 10 to 80 degrees two-theta:
30.0°, rel. 100, (2 1 1); 32.0°, rel. 98, (0 1 3); 42.4°, rel. 83, (2 2 2); 23.6°, rel. 77, (0 1 2); 15.5°, rel. 60, (1 0 1); 31.4°, rel. 54, (2 0 2)

Atomic structure:
Lattice parameters (Å, degrees): 7.206 6.435 9.317 90.00 90.00 90.00
Space group Pmn2_1 (No. 31)
Asymmetric unit:
Na 0.000 0.005 0.000 [2 per cell]
Na 0.000 0.961 0.581 [2 per cell]
P 0.000 0.353 0.348 [2 per cell]
H 0.000 0.401 0.496 [2 per cell]
H 0.111 0.679 0.808 [4 per cell]
H 0.162 0.950 0.245 [4 per cell]
H 0.206 0.716 0.209 [4 per cell]
H 0.213 0.351 0.104 [4 per cell]
H 0.248 0.630 0.437 [4 per cell]
O 0.000 0.115 0.336 [2 per cell]
O 0.000 0.770 0.812 [2 per cell]
O 0.178 0.455 0.286 [4 per cell]
O 0.227 0.860 0.175 [4 per cell]
O 0.235 0.269 0.016 [4 per cell]